CaGa6Te10: computed powder diffraction line list (λ = 1.5418 Å (Cu Kα)), based on a crystal structure in the Materials Project, relaxed with PBE.

Structure:
Cell: 10.4704 10.4704 10.4257 Å, 90.05 90.05 89.18°
Atoms (fractional coordinates):
Ca  0.1309  0.1309  0.2448
Ca  0.8691  0.8691  0.7552
Ga  0.0316  0.5569  0.6229
Ga  0.0409  0.4688  0.2466
Ga  0.1254  0.7815  0.3308
Ga  0.2185  0.8746  0.6692
Ga  0.3030  0.2559  0.6607
Ga  0.4431  0.9684  0.3771
Ga  0.5312  0.9591  0.7534
Ga  0.6176  0.2974  0.8370
Ga  0.7026  0.3824  0.1630
Ga  0.7089  0.0016  0.0741
Ga  0.7441  0.6970  0.3393
Ga  0.9984  0.2911  0.9259
Te  0.0437  0.9563  0.5000
Te  0.0460  0.3007  0.6706
Te  0.1206  0.6970  0.8161
Te  0.1913  0.3749  0.0657
Te  0.2015  0.5558  0.4313
Te  0.3031  0.0586  0.8272
Te  0.3030  0.8794  0.1839
Te  0.3726  0.2095  0.4177
Te  0.4341  0.4444  0.7533
Te  0.4442  0.7985  0.5687
Te  0.5465  0.1987  0.0692
Te  0.5556  0.5659  0.2467
Te  0.6251  0.8087  0.9343
Te  0.6993  0.1231  0.6688
Te  0.6993  0.9540  0.3294
Te  0.7905  0.6274  0.5823
Te  0.8013  0.4535  0.9308
Te  0.8769  0.3007  0.3312
Te  0.9414  0.6969  0.1728
Te  0.9527  0.0473  0.0000

The 6 most intense peaks (2θ = 10–90°), in order of rising 2θ:
d 7.382, 2θ 11.99, I 38
d 3.494, 2θ 25.49, I 93
d 3.470, 2θ 25.67, I 100
d 3.307, 2θ 26.97, I 39
d 3.145, 2θ 28.38, I 93
d 2.045, 2θ 44.28, I 48

---

NaCaAu2: computed powder diffraction line list (λ = 1.5418 Å (Cu Kα)), based on a crystal structure in the Materials Project, relaxed with PBE.

Structure:
Cell: 7.1864 7.1864 7.1864 Å, 90.00 90.00 90.00°
Atoms (fractional coordinates):
Na  0.0000  0.0000  0.0000
Na  0.0000  0.5000  0.5000
Na  0.5000  0.0000  0.5000
Na  0.5000  0.5000  0.0000
Ca  0.0000  0.0000  0.5000
Ca  0.0000  0.5000  0.0000
Ca  0.5000  0.0000  0.0000
Ca  0.5000  0.5000  0.5000
Au  0.2500  0.2500  0.2500
Au  0.2500  0.2500  0.7500
Au  0.2500  0.7500  0.2500
Au  0.2500  0.7500  0.7500
Au  0.7500  0.2500  0.2500
Au  0.7500  0.2500  0.7500
Au  0.7500  0.7500  0.2500
Au  0.7500  0.7500  0.7500

The 6 most intense peaks (2θ = 10–90°), in order of rising 2θ:
d 3.593, 2θ 24.78, I 61
d 2.541, 2θ 35.33, I 100
d 2.075, 2θ 43.63, I 19
d 1.797, 2θ 50.82, I 18
d 1.607, 2θ 57.34, I 26
d 1.467, 2θ 63.41, I 36

---

Nb3Sb2Te5: computed powder diffraction line list (λ = 1.5418 Å (Cu Kα)), based on a crystal structure in the Materials Project, relaxed with PBE.

Structure:
Cell: 8.5921 8.5921 8.5921 Å, 109.47 109.47 109.47°
Atoms (fractional coordinates):
Nb  0.0000  0.3427  0.3427
Nb  0.0000  0.6573  0.6573
Nb  0.3427  0.0000  0.3427
Nb  0.3427  0.3427  0.0000
Nb  0.6573  0.0000  0.6573
Nb  0.6573  0.6573  0.0000
Sb  0.0000  0.0000  0.6703
Sb  0.0000  0.6703  0.0000
Sb  0.3297  0.3297  0.3297
Sb  0.6703  0.0000  0.0000
Te  0.0000  0.0000  0.3279
Te  0.0000  0.3279  0.0000
Te  0.2500  0.5000  0.7500
Te  0.2500  0.7500  0.5000
Te  0.3279  0.0000  0.0000
Te  0.5000  0.2500  0.7500
Te  0.5000  0.7500  0.2500
Te  0.6721  0.6721  0.6721
Te  0.7500  0.2500  0.5000
Te  0.7500  0.5000  0.2500

The 6 most intense peaks (2θ = 10–90°), in order of rising 2θ:
d 3.137, 2θ 28.45, I 37
d 2.864, 2θ 31.23, I 50
d 2.652, 2θ 33.80, I 51
d 2.338, 2θ 38.50, I 100
d 1.654, 2θ 55.58, I 21
d 1.350, 2θ 69.64, I 40

---

TlBi: computed powder diffraction line list (λ = 1.5418 Å (Cu Kα)), based on a crystal structure in the Materials Project, relaxed with PBE.

Structure:
Cell: 3.9917 3.9917 3.9917 Å, 90.00 90.00 90.00°
Atoms (fractional coordinates):
Tl  0.0000  0.0000  0.0000
Bi  0.5000  0.5000  0.5000

The 6 most intense peaks (2θ = 10–90°), in order of rising 2θ:
d 2.823, 2θ 31.70, I 100
d 1.996, 2θ 45.44, I 19
d 1.630, 2θ 56.47, I 40
d 1.411, 2θ 66.22, I 13
d 1.262, 2θ 75.28, I 18
d 1.152, 2θ 83.98, I 5

---

Pr2ZnAg: computed powder diffraction line list (λ = 1.5418 Å (Cu Kα)), based on a crystal structure in the Materials Project, relaxed with PBE.

Structure:
Cell: 7.5218 7.5218 7.5218 Å, 90.00 90.00 90.00°
Atoms (fractional coordinates):
Pr  0.2500  0.2500  0.2500
Pr  0.2500  0.2500  0.7500
Pr  0.2500  0.7500  0.2500
Pr  0.2500  0.7500  0.7500
Pr  0.7500  0.2500  0.2500
Pr  0.7500  0.2500  0.7500
Pr  0.7500  0.7500  0.2500
Pr  0.7500  0.7500  0.7500
Zn  0.0000  0.0000  0.0000
Zn  0.0000  0.5000  0.5000
Zn  0.5000  0.0000  0.5000
Zn  0.5000  0.5000  0.0000
Ag  0.0000  0.0000  0.5000
Ag  0.0000  0.5000  0.0000
Ag  0.5000  0.0000  0.0000
Ag  0.5000  0.5000  0.5000

The 6 most intense peaks (2θ = 10–90°), in order of rising 2θ:
d 3.761, 2θ 23.66, I 5
d 2.659, 2θ 33.70, I 100
d 1.880, 2θ 48.41, I 18
d 1.535, 2θ 60.28, I 36
d 1.330, 2θ 70.87, I 11
d 1.189, 2θ 80.81, I 15

---

NaSi2O5: computed powder diffraction line list (λ = 1.5418 Å (Cu Kα)), based on a crystal structure in the Materials Project, relaxed with PBE.

Structure:
Cell: 8.7058 8.7058 8.7058 Å, 106.98 106.98 114.58°
Atoms (fractional coordinates):
Na  0.2734  0.2284  0.2384
Na  0.7716  0.0101  0.0451
Na  0.9650  0.7266  0.9549
Na  0.9899  0.0350  0.7616
Si  0.0875  0.9011  0.4342
Si  0.0989  0.5331  0.1864
Si  0.3467  0.9125  0.8136
Si  0.3525  0.6444  0.9984
Si  0.3556  0.3540  0.7081
Si  0.4669  0.6533  0.5658
Si  0.6460  0.3541  0.0016
Si  0.6459  0.6475  0.2919
O  0.0454  0.9439  0.2497
O  0.0561  0.3058  0.1016
O  0.1638  0.7781  0.3285
O  0.1646  0.8362  0.6142
O  0.1925  0.6189  0.0638
O  0.1988  0.1271  0.5965
O  0.2042  0.9546  0.8984
O  0.2219  0.5504  0.3858
O  0.2723  0.4346  0.8355
O  0.3811  0.4449  0.5736
O  0.3977  0.8012  0.9283
O  0.4496  0.8354  0.6715
O  0.5306  0.6023  0.4035
O  0.5551  0.1287  0.9362
O  0.5631  0.7277  0.1623
O  0.5654  0.4009  0.8377
O  0.5991  0.4369  0.1645
O  0.6942  0.7958  0.7503
O  0.8713  0.8075  0.4264
O  0.8729  0.4694  0.0717

The 6 most intense peaks (2θ = 10–90°), in order of rising 2θ:
d 7.325, 2θ 12.08, I 19
d 6.965, 2θ 12.71, I 100
d 5.180, 2θ 17.12, I 20
d 3.958, 2θ 22.46, I 18
d 3.242, 2θ 27.51, I 27
d 3.002, 2θ 29.76, I 19

---

V5Ga3: computed powder diffraction line list (λ = 1.5418 Å (Cu Kα)), based on a crystal structure in the Materials Project, relaxed with PBE.

Structure:
Cell: 7.3513 7.3513 4.9046 Å, 90.00 90.00 120.00°
Atoms (fractional coordinates):
V  0.0000  0.2431  0.2500
V  0.0000  0.7569  0.7500
V  0.2431  0.0000  0.2500
V  0.2431  0.2431  0.7500
V  0.3333  0.6667  0.0000
V  0.3333  0.6667  0.5000
V  0.6667  0.3333  0.0000
V  0.6667  0.3333  0.5000
V  0.7569  0.0000  0.7500
V  0.7569  0.7569  0.2500
Ga  0.0000  0.3942  0.7500
Ga  0.0000  0.6058  0.2500
Ga  0.3942  0.0000  0.7500
Ga  0.3942  0.3942  0.2500
Ga  0.6058  0.0000  0.2500
Ga  0.6058  0.6058  0.7500

The 6 most intense peaks (2θ = 10–90°), in order of rising 2θ:
d 2.452, 2θ 36.65, I 23
d 2.406, 2θ 37.37, I 23
d 2.160, 2θ 41.81, I 100
d 2.122, 2θ 42.60, I 45
d 2.040, 2θ 44.41, I 64
d 1.661, 2θ 55.30, I 21

---

Te2MoW2Se4: computed powder diffraction line list (λ = 1.5418 Å (Cu Kα)), based on a crystal structure in the Materials Project, relaxed with PBE.

Structure:
Cell: 3.3969 3.3969 31.4420 Å, 90.00 90.00 120.00°
Atoms (fractional coordinates):
Te  0.0000  0.0000  0.0000
Te  0.0000  0.0000  0.1192
Mo  0.6667  0.3333  0.0596
W  0.0000  0.0000  0.2909
W  0.6667  0.3333  0.5222
Se  0.0000  0.0000  0.4695
Se  0.0000  0.0000  0.5750
Se  0.6667  0.3333  0.2382
Se  0.6667  0.3333  0.3436

The 6 most intense peaks (2θ = 10–90°), in order of rising 2θ:
d 7.861, 2θ 11.26, I 100
d 2.942, 2θ 30.38, I 31
d 2.565, 2θ 34.98, I 45
d 2.461, 2θ 36.51, I 54
d 2.050, 2θ 44.18, I 43
d 1.698, 2θ 54.01, I 30

---

LiHf2Os: computed powder diffraction line list (λ = 1.5418 Å (Cu Kα)), based on a crystal structure in the Materials Project, relaxed with PBE.

Structure:
Cell: 6.5372 6.5372 6.5372 Å, 90.00 90.00 90.00°
Atoms (fractional coordinates):
Li  0.0000  0.0000  0.0000
Li  0.0000  0.5000  0.5000
Li  0.5000  0.0000  0.5000
Li  0.5000  0.5000  0.0000
Hf  0.2500  0.2500  0.2500
Hf  0.2500  0.2500  0.7500
Hf  0.2500  0.7500  0.2500
Hf  0.2500  0.7500  0.7500
Hf  0.7500  0.2500  0.2500
Hf  0.7500  0.2500  0.7500
Hf  0.7500  0.7500  0.2500
Hf  0.7500  0.7500  0.7500
Os  0.0000  0.0000  0.5000
Os  0.0000  0.5000  0.0000
Os  0.5000  0.0000  0.0000
Os  0.5000  0.5000  0.5000

The 6 most intense peaks (2θ = 10–90°), in order of rising 2θ:
d 3.774, 2θ 23.57, I 27
d 2.311, 2θ 38.97, I 100
d 1.971, 2θ 46.05, I 14
d 1.634, 2θ 56.29, I 17
d 1.334, 2θ 70.58, I 35
d 1.156, 2θ 83.69, I 11

---

TlSe2O6: computed powder diffraction line list (λ = 1.5418 Å (Cu Kα)), based on a crystal structure in the Materials Project, relaxed with PBE.

Structure:
Cell: 6.1894 6.2185 19.3030 Å, 90.00 90.00 90.00°
Atoms (fractional coordinates):
Tl  0.2266  0.2226  0.0833
Tl  0.2734  0.7774  0.5833
Tl  0.7266  0.2774  0.9167
Tl  0.7734  0.7226  0.4167
Se  0.2053  0.7455  0.2404
Se  0.2052  0.7521  0.9140
Se  0.2948  0.2479  0.4140
Se  0.2947  0.2545  0.7404
Se  0.7052  0.7479  0.0860
Se  0.7053  0.7545  0.7596
Se  0.7947  0.2455  0.2596
Se  0.7948  0.2521  0.5860
O  0.0308  0.3011  0.4110
O  0.0587  0.5669  0.9556
O  0.1478  0.7142  0.3233
O  0.1496  0.0031  0.9383
O  0.1862  0.4654  0.7017
O  0.2002  0.0146  0.7189
O  0.2998  0.9854  0.2189
O  0.3138  0.5346  0.2017
O  0.3504  0.9969  0.4383
O  0.3522  0.2858  0.8233
O  0.4413  0.4331  0.4556
O  0.4692  0.6989  0.9110
O  0.5308  0.1989  0.5890
O  0.5587  0.9331  0.0444
O  0.6478  0.7858  0.6767
O  0.6496  0.4969  0.0617
O  0.6862  0.0346  0.2983
O  0.7002  0.4854  0.2811
O  0.7998  0.5146  0.7811
O  0.8138  0.9654  0.7983
O  0.8504  0.5031  0.5617
O  0.8522  0.2142  0.1767
O  0.9413  0.0669  0.5444
O  0.9692  0.8011  0.0890

The 6 most intense peaks (2θ = 10–90°), in order of rising 2θ:
d 3.625, 2θ 24.56, I 100
d 3.217, 2θ 27.73, I 20
d 3.109, 2θ 28.71, I 13
d 3.095, 2θ 28.85, I 14
d 1.927, 2θ 47.17, I 15
d 1.880, 2θ 48.42, I 12

---

LiCu2B2H8Cl2O8: computed powder diffraction line list (λ = 1.5418 Å (Cu Kα)), based on a crystal structure in the Materials Project, relaxed with PBE.

Structure:
Cell: 6.4185 6.4185 5.3980 Å, 90.00 90.00 90.00°
Atoms (fractional coordinates):
Li  0.0000  0.0000  0.0000
Cu  0.0000  0.5000  0.3650
Cu  0.5000  0.0000  0.6350
B  0.0000  0.0000  0.5000
B  0.5000  0.5000  0.5000
H  0.1696  0.2225  0.6840
H  0.2225  0.8304  0.3160
H  0.3235  0.6476  0.7596
H  0.3524  0.3235  0.2404
H  0.6476  0.6765  0.2404
H  0.6765  0.3524  0.7596
H  0.7775  0.1696  0.3160
H  0.8304  0.7775  0.6840
Cl  0.0000  0.5000  0.8508
Cl  0.5000  0.0000  0.1492
O  0.0694  0.8278  0.3351
O  0.1722  0.0694  0.6649
O  0.3182  0.4448  0.3435
O  0.4448  0.6818  0.6565
O  0.5552  0.3182  0.6565
O  0.6818  0.5552  0.3435
O  0.8278  0.9306  0.6649
O  0.9306  0.1722  0.3351

The 6 most intense peaks (2θ = 10–90°), in order of rising 2θ:
d 5.398, 2θ 16.42, I 65
d 4.539, 2θ 19.56, I 69
d 3.209, 2θ 27.80, I 100
d 2.488, 2θ 36.10, I 98
d 2.030, 2θ 44.65, I 57
d 1.966, 2θ 46.17, I 47

---

MgTe2Mo2W2Se4S2: computed powder diffraction line list (λ = 1.5418 Å (Cu Kα)), based on a crystal structure in the Materials Project, relaxed with PBE.

Structure:
Cell: 3.3429 3.3429 45.0993 Å, 90.02 90.02 60.00°
Atoms (fractional coordinates):
Mg  0.0000  0.0000  0.0000
Te  0.3329  0.3329  0.4160
Te  0.3332  0.3332  0.5002
Mo  0.6663  0.6663  0.0874
Mo  0.6664  0.6664  0.4581
W  0.3330  0.3330  0.2691
W  0.3330  0.3330  0.8862
Se  0.6662  0.6662  0.2319
Se  0.6662  0.6662  0.8491
Se  0.6664  0.6664  0.9235
Se  0.6665  0.6665  0.3063
S  0.3328  0.3328  0.0528
S  0.3330  0.3330  0.1206

The 6 most intense peaks (2θ = 10–90°), in order of rising 2θ:
d 7.517, 2θ 11.77, I 42
d 2.894, 2θ 30.90, I 48
d 2.757, 2θ 32.48, I 32
d 2.575, 2θ 34.84, I 74
d 2.223, 2θ 40.59, I 100
d 1.672, 2θ 54.93, I 33